Computed PXRD pattern of MgZrNiB for Cu Ka, from a cell relaxed with PBE.
Peak positions follow from Bragg's law for the DFT cell and can differ from measured ones.

Peak list (10 most intense, 2θ from 10° to 90°, most intense first)
- 2θ = 42.03°, intensity 1000
- 2θ = 25.37°, intensity 554
- 2θ = 76.79°, intensity 307
- 2θ = 49.73°, intensity 260
- 2θ = 60.94°, intensity 157
- 2θ = 67.09°, intensity 101
- 2θ = 82.41°, intensity 75
- 2θ = 29.38°, intensity 75
- 2θ = 69.08°, intensity 28
- 2θ = 52.10°, intensity 21

Structural model:
a b c (Å): 4.300 4.300 4.300
angles (deg): 60.00 60.00 60.00
Sites, in units of the cell vectors:
Mg 0.000 0.000 0.000
Zr 0.500 0.500 0.500
Ni 0.750 0.750 0.750
B 0.250 0.250 0.250